No. 1
The following is a calculated X-ray diffraction stick pattern of Bi3O4F. It was derived from DFT lattice parameters and positions (PBE), using Cu Ka.
Intensities are scaled so that the largest is 100.

Most intense lines, 2θ = 5–70°, by angle:
2θ (°)  I (rel.)
21.7  16
25.3  100
28.1  98
30.9  52
31.1  29
34.7  16
44.2  21
44.4  25

Atomic structure:
Cell: 9.2594 9.2594 5.8297 Å, 98.41 98.41 36.45°
Fractional coordinates of all 16 atoms:
Bi: 0.1367 0.5515 0.2213
Bi: 0.2070 0.7930 0.7500
Bi: 0.4485 0.8633 0.2787
Bi: 0.5515 0.1367 0.7213
Bi: 0.7930 0.2070 0.2500
Bi: 0.8633 0.4485 0.7787
O: 0.0040 0.1383 0.6020
O: 0.1383 0.0040 0.1020
O: 0.3468 0.4530 0.9436
O: 0.4530 0.3468 0.4436
O: 0.5470 0.6532 0.5564
O: 0.6532 0.5470 0.0564
O: 0.8617 0.9960 0.8980
O: 0.9960 0.8617 0.3980
F: 0.0000 0.5000 0.5000
F: 0.5000 0.0000 0.0000



No. 2
The following is a calculated X-ray diffraction stick pattern of Bi3O4F. It was derived from DFT lattice parameters and positions (PBE), using Cu Ka.
Intensities are scaled so that the largest is 100.

Most intense lines, 2θ = 5–70°, by angle:
2θ (°)  I (rel.)
21.7  17
25.3  100
28.1  98
30.8  26
31.0  55
34.6  16
44.3  42
50.2  29

Atomic structure:
Cell: 9.2303 9.2303 5.8321 Å, 98.38 98.38 36.69°
Fractional coordinates of all 16 atoms:
Bi: 0.0000 0.0000 0.0000
Bi: 0.2432 0.0687 0.5266
Bi: 0.3466 0.3421 0.9721
Bi: 0.5878 0.4122 0.5000
Bi: 0.6579 0.6534 0.0279
Bi: 0.9313 0.7568 0.4734
O: 0.1384 0.6601 0.1913
O: 0.2468 0.5543 0.6944
O: 0.3399 0.8616 0.8087
O: 0.4457 0.7532 0.3056
O: 0.6546 0.2012 0.1534
O: 0.7876 0.0676 0.6525
O: 0.7988 0.3454 0.8466
O: 0.9324 0.2124 0.3475
F: 0.2851 0.2139 0.2491
F: 0.7861 0.7149 0.7509



No. 3
The following is a calculated X-ray diffraction stick pattern of Bi2OF2. It was derived from DFT lattice parameters and positions (PBE), using Cu Ka.
Intensities are scaled so that the largest is 100.

Most intense lines, 2θ = 5–70°, by angle:
2θ (°)  I (rel.)
7.4  96
14.9  56
22.4  38
26.3  100
30.4  43
34.8  52
37.6  40
44.2  28

Atomic structure:
Cell: 3.3851 3.3851 11.9014 Å, 90.00 90.00 90.00°
Fractional coordinates of all 5 atoms:
Bi: 0.0000 0.0000 0.1819
Bi: 0.0000 0.0000 0.8181
O: 0.0000 0.0000 0.0000
F: 0.0000 0.0000 0.3577
F: 0.0000 0.0000 0.6423